The following is a calculated powder XRD pattern of TiZnCuP3O12. It was derived from a GGA-PBE-relaxed structure, using CuKα.

Top 10 peaks for 15 to 90 degrees two-theta, in order of rising 2θ:
two_theta, intensity
20.7, 100
24.4, 95
25.4, 23
33.3, 80
36.2, 43
47.7, 36
50.0, 30
56.6, 28
57.0, 18
63.2, 23

Crystal structure
Cell: 8.5067 8.5067 8.5067 Å, 60.72 60.72 60.72°
Element x y z (fractional)
Ti 0.0000 0.0000 0.0000
Ti 0.5000 0.5000 0.5000
Zn 0.3537 0.3537 0.3537
Zn 0.8537 0.8537 0.8537
Cu 0.2129 0.2129 0.2129
Cu 0.7129 0.7129 0.7129
P 0.1072 0.4009 0.8139
P 0.3139 0.9009 0.6072
P 0.4009 0.8139 0.1072
P 0.6072 0.3139 0.9009
P 0.8139 0.1072 0.4009
P 0.9009 0.6072 0.3139
O 0.0454 0.2347 0.8596
O 0.0935 0.4404 0.3081
O 0.1123 0.9182 0.7642
O 0.1837 0.3623 0.9618
O 0.2347 0.8596 0.0454
O 0.2642 0.4182 0.6123
O 0.3081 0.0935 0.4404
O 0.3596 0.7347 0.5454
O 0.3623 0.9618 0.1837
O 0.4182 0.6123 0.2642
O 0.4404 0.3081 0.0935
O 0.4618 0.8623 0.6837
O 0.5454 0.3596 0.7347
O 0.5935 0.8081 0.9404
O 0.6123 0.2642 0.4182
O 0.6837 0.4618 0.8623
O 0.7347 0.5454 0.3596
O 0.7642 0.1123 0.9182
O 0.8081 0.9404 0.5935
O 0.8596 0.0454 0.2347
O 0.8623 0.6837 0.4618
O 0.9182 0.7642 0.1123
O 0.9404 0.5935 0.8081
O 0.9618 0.1837 0.3623